No. 1
Structure and simulated PXRD pattern of ScBS (a structure optimized by DFT (GGA-PBE); Cu Kα (λ = 1.5418 Å)).

Cell and atoms:
Unit cell a=3.5437 b=3.5437 c=8.4396 alpha=96.75 beta=96.75 gamma=93.52
Element x y z (fractional)
Sc: 0.1652 0.1652 0.1687
Sc: 0.8348 0.8348 0.8313
B: 0.3497 0.3497 0.9366
B: 0.6503 0.6503 0.0634
S: 0.3038 0.3038 0.7098
S: 0.6962 0.6962 0.2902

Main lines, by angle (10° ≤ 2θ ≤ 80°):
| 2theta | I (rel.) |
| --- | --- |
| 10.6 | 100 |
| 21.4 | 80 |
| 31.2 | 38 |
| 34.8 | 72 |
| 35.5 | 44 |
| 41.2 | 26 |
| 48.0 | 49 |
| 54.1 | 30 |

No. 2
Structure and simulated PXRD pattern of SrBSe2S (a structure optimized by DFT (GGA-PBE); Cu Kα (λ = 1.5418 Å)).

Cell and atoms:
Unit cell a=4.9874 b=4.9874 c=5.4429 alpha=90.00 beta=90.00 gamma=90.00
Element x y z (fractional)
Sr: 0.0000 0.0000 0.0000
B: 0.5000 0.5000 0.0000
Se: 0.0000 0.5000 0.5000
Se: 0.5000 0.0000 0.5000
S: 0.0000 0.0000 0.5000

Main lines, by angle (10° ≤ 2θ ≤ 80°):
| 2theta | I (rel.) |
| --- | --- |
| 16.3 | 22 |
| 17.8 | 48 |
| 30.2 | 100 |
| 32.9 | 34 |
| 36.0 | 52 |
| 49.6 | 40 |
| 61.2 | 26 |
| 62.8 | 20 |

Please write out number 2 again, unchanged.
Structure and simulated PXRD pattern of SrBSe2S (a structure optimized by DFT (GGA-PBE); Cu Kα (λ = 1.5418 Å)).

Cell and atoms:
Unit cell a=4.9874 b=4.9874 c=5.4429 alpha=90.00 beta=90.00 gamma=90.00
Element x y z (fractional)
Sr: 0.0000 0.0000 0.0000
B: 0.5000 0.5000 0.0000
Se: 0.0000 0.5000 0.5000
Se: 0.5000 0.0000 0.5000
S: 0.0000 0.0000 0.5000

Main lines, by angle (10° ≤ 2θ ≤ 80°):
| 2theta | I (rel.) |
| --- | --- |
| 16.3 | 22 |
| 17.8 | 48 |
| 30.2 | 100 |
| 32.9 | 34 |
| 36.0 | 52 |
| 49.6 | 40 |
| 61.2 | 26 |
| 62.8 | 20 |